No. 1
Diffraction record for Pm3DySi3. The X-ray diffraction stick pattern is theoretical, not measured: it uses a cell relaxed with GGA-PBE and CuKα.
Lines closer than 0.1° are merged.

Crystal structure
```
data_Pm3DySi3
_chemical_formula_sum 'Pm9 Dy3 Si9'
_symmetry_space_group_name_H-M 'R 3 m'
_symmetry_Int_Tables_number 160
_symmetry_space_group_name_Hall 'R 3 -2"'
_cell_length_a 9.9559
_cell_length_b 9.9559
_cell_length_c 6.2292
_cell_angle_alpha 90.00
_cell_angle_beta 90.00
_cell_angle_gamma 120.00
loop_
_atom_site_label
_atom_site_type_symbol
_atom_site_fract_x
_atom_site_fract_y
_atom_site_fract_z
Pm1 Pm 0.1864 0.3729 0.0000
Dy1 Dy 0.0000 0.0000 0.7441
Si1 Si 0.0003 0.5001 0.1894
```

Top 12 peaks for 10 to 90 degrees two-theta, by angle:
2θ 25.12, d 3.545, I = 100.0; 2θ 30.52, d 2.929, I = 12.7; 2θ 30.97, d 2.888, I = 25.4; 2θ 31.12, d 2.874, I = 11.5; 2θ 35.56, d 2.525, I = 67.7; 2θ 36.09, d 2.489, I = 65.2; 2θ 44.48, d 2.037, I = 16.1; 2θ 51.56, d 1.772, I = 17.7; 2θ 54.99, d 1.670, I = 16.0; 2θ 64.55, d 1.444, I = 14.6; 2θ 67.84, d 1.381, I = 13.0; 2θ 84.22, d 1.150, I = 10.1

---

No. 2
Diffraction record for LiAlZnH6. The X-ray diffraction stick pattern is theoretical, not measured: it uses a cell relaxed with GGA-PBE and CuKα.
Lines closer than 0.1° are merged.

Crystal structure
```
data_LiAlZnH6
_chemical_formula_sum 'Li2 Al2 Zn2 H12'
_symmetry_space_group_name_H-M 'P -3 1 c'
_symmetry_Int_Tables_number 163
_symmetry_space_group_name_Hall '-P 3 2c'
_cell_length_a 4.6101
_cell_length_b 4.6101
_cell_length_c 8.5501
_cell_angle_alpha 90.00
_cell_angle_beta 90.00
_cell_angle_gamma 120.00
loop_
_atom_site_label
_atom_site_type_symbol
_atom_site_fract_x
_atom_site_fract_y
_atom_site_fract_z
Li1 Li 0.0000 0.0000 0.0000
Al1 Al 0.3333 0.6667 0.2500
Zn1 Zn 0.3333 0.6667 0.7500
H1 H 0.0128 0.3577 0.1342
```

Top 12 peaks for 10 to 90 degrees two-theta, by angle:
2θ 20.78, d 4.275, I = 100.0; 2θ 22.27, d 3.992, I = 56.6; 2θ 24.61, d 3.617, I = 61.2; 2θ 30.64, d 2.918, I = 74.1; 2θ 38.82, d 2.320, I = 19.6; 2θ 39.08, d 2.305, I = 63.3; 2θ 42.28, d 2.138, I = 15.7; 2θ 44.66, d 2.029, I = 74.6; 2θ 50.46, d 1.809, I = 17.5; 2θ 58.93, d 1.567, I = 40.9; 2θ 65.61, d 1.423, I = 15.4; 2θ 74.70, d 1.271, I = 15.2

---

No. 3
Diffraction record for Ag2PbC2O6. The X-ray diffraction stick pattern is theoretical, not measured: it uses a cell relaxed with GGA-PBE and CuKα.
Lines closer than 0.1° are merged.

Crystal structure
```
data_Ag2PbC2O6
_chemical_formula_sum 'Ag6 Pb3 C6 O18'
_symmetry_space_group_name_H-M 'R -3 m'
_symmetry_Int_Tables_number 166
_symmetry_space_group_name_Hall '-R 3 2"'
_cell_length_a 5.2795
_cell_length_b 5.2795
_cell_length_c 19.8797
_cell_angle_alpha 90.00
_cell_angle_beta 90.00
_cell_angle_gamma 120.00
loop_
_atom_site_label
_atom_site_type_symbol
_atom_site_fract_x
_atom_site_fract_y
_atom_site_fract_z
Ag1 Ag 0.0000 0.0000 0.2006
Pb1 Pb 0.0000 0.0000 0.0000
C1 C 0.0000 0.0000 0.4244
O1 O 0.0488 0.5244 0.2417
```

Top 12 peaks for 10 to 90 degrees two-theta, by angle:
2θ 19.93, d 4.456, I = 63.7; 2θ 26.49, d 3.365, I = 36.3; 2θ 29.78, d 3.000, I = 100.0; 2θ 33.96, d 2.640, I = 61.1; 2θ 39.69, d 2.271, I = 14.9; 2θ 43.58, d 2.077, I = 21.3; 2θ 43.85, d 2.065, I = 25.2; 2θ 45.78, d 1.982, I = 31.6; 2θ 50.03, d 1.823, I = 22.4; 2θ 53.20, d 1.722, I = 15.8; 2θ 58.21, d 1.585, I = 23.3; 2θ 72.47, d 1.304, I = 15.7

---

No. 4
Diffraction record for BaSO4F. The X-ray diffraction stick pattern is theoretical, not measured: it uses a cell relaxed with GGA-PBE and CuKα.
Lines closer than 0.1° are merged.

Crystal structure
```
data_BaSO4F
_chemical_formula_sum 'Ba4 S4 O16 F4'
_symmetry_space_group_name_H-M 'C 1 2/m 1'
_symmetry_Int_Tables_number 12
_cell_length_a 10.113
_cell_length_b 8.030
_cell_length_c 7.096
_cell_angle_alpha 90.00
_cell_angle_beta 99.37
_cell_angle_gamma 90.00
loop_
_symmetry_equiv_pos_as_xyz
'x,y,z'
'-x,-y,-z'
'-x,y,-z'
'x,-y,z'
'x+1/2,y+1/2,z'
'-x+1/2,-y+1/2,-z'
'-x+1/2,y+1/2,-z'
'x+1/2,-y+1/2,z'
loop_
_atom_site_label
_atom_site_type_symbol
_atom_site_fract_x
_atom_site_fract_y
_atom_site_fract_z
Ba1 Ba 0.194 0.000 0.149
S1 S 0.132 0.500 0.258
O1 O 0.017 0.500 0.760
O2 O 0.173 0.349 0.161
O3 O 0.190 0.500 0.462
F1 F 0.049 0.000 0.821
```

Top 12 peaks for 10 to 90 degrees two-theta, by angle:
2θ 12.64, d 7.002, I = 62.0; 2θ 17.78, d 4.989, I = 38.7; 2θ 18.03, d 4.921, I = 52.3; 2θ 22.14, d 4.015, I = 100.0; 2θ 23.52, d 3.782, I = 52.5; 2θ 27.91, d 3.197, I = 35.7; 2θ 29.95, d 2.984, I = 45.0; 2θ 30.51, d 2.930, I = 17.6; 2θ 32.52, d 2.753, I = 23.4; 2θ 36.54, d 2.459, I = 26.9; 2θ 38.57, d 2.334, I = 18.0; 2θ 44.03, d 2.057, I = 22.0